The following is a simulated X-ray powder pattern of Dy4Tm2Sc3. It was derived from a GGA-PBE-relaxed structure, using Cu Kα X-rays.
Lines closer than 0.1° are merged.

Most intense lines, 2θ from 10° to 90°, in order of rising 2θ:
10.57°, I 30
29.66°, I 52
29.88°, I 34
32.09°, I 39
32.99°, I 51
34.74°, I 100
52.64°, I 35
63.00°, I 33

Structure:
a = 3.477 Å, b = 3.477 Å, c = 25.104 Å
α = 90.00°, β = 90.00°, γ = 120.00°
Atoms (fractional coordinates):
1 Dy 0.000 0.000 0.000
2 Dy 0.000 0.000 0.211
3 Dy 0.333 0.667 0.328
4 Dy 0.333 0.667 0.541
5 Tm 0.000 0.000 0.655
6 Tm 0.000 0.000 0.864
7 Sc 0.000 0.000 0.434
8 Sc 0.333 0.667 0.105
9 Sc 0.333 0.667 0.760

The following is a simulated X-ray powder pattern of Ac2Ho3Rh2. It was derived from a GGA-PBE-relaxed structure, using Cu Kα X-rays.
Lines closer than 0.1° are merged.

Most intense lines, 2θ from 10° to 90°, in order of rising 2θ:
27.87°, I 27
28.94°, I 41
29.89°, I 56
31.23°, I 56
32.40°, I 51
33.10°, I 100
34.96°, I 34
46.23°, I 30

Structure:
a = 12.562 Å, b = 3.927 Å, c = 9.262 Å
α = 90.00°, β = 117.27°, γ = 90.00°
Atoms (fractional coordinates):
1 Ac 0.162 0.000 0.296
2 Ac 0.338 0.500 0.704
3 Ac 0.662 0.500 0.296
4 Ac 0.838 0.000 0.704
5 Ho 0.000 0.500 0.500
6 Ho 0.123 0.500 0.925
7 Ho 0.377 0.000 0.075
8 Ho 0.500 0.000 0.500
9 Ho 0.623 0.000 0.925
10 Ho 0.877 0.500 0.075
11 Rh 0.168 0.000 0.746
12 Rh 0.332 0.500 0.254
13 Rh 0.668 0.500 0.746
14 Rh 0.832 0.000 0.254

The following is a simulated X-ray powder pattern of Na3Pr2NpTe6. It was derived from a GGA-PBE-relaxed structure, using Cu Kα X-rays.
Lines closer than 0.1° are merged.

Most intense lines, 2θ from 10° to 90°, in order of rising 2θ:
11.72°, I 32
22.88°, I 16
27.55°, I 100
39.16°, I 39
39.56°, I 38
48.88°, I 21
64.06°, I 18
64.62°, I 18

Structure:
a = 7.893 Å, b = 7.893 Å, c = 7.995 Å
α = 99.46°, β = 99.46°, γ = 120.01°
Atoms (fractional coordinates):
1 Na 0.000 0.000 0.000
2 Na 0.331 0.669 0.000
3 Na 0.669 0.331 0.000
4 Pr 0.167 0.833 0.500
5 Pr 0.833 0.167 0.500
6 Np 0.500 0.500 0.500
7 Te 0.092 0.421 0.260
8 Te 0.252 0.252 0.739
9 Te 0.421 0.092 0.260
10 Te 0.579 0.908 0.740
11 Te 0.748 0.748 0.261
12 Te 0.908 0.579 0.740

The following is a simulated X-ray powder pattern of TiBiC3. It was derived from a GGA-PBE-relaxed structure, using Cu Kα X-rays.
Lines closer than 0.1° are merged.

Most intense lines, 2θ from 10° to 90°, in order of rising 2θ:
21.49°, I 41
30.58°, I 100
37.68°, I 24
43.79°, I 26
49.28°, I 22
54.35°, I 41
72.26°, I 18
88.48°, I 22

Structure:
a = 4.134 Å, b = 4.134 Å, c = 4.134 Å
α = 90.00°, β = 90.00°, γ = 90.00°
Atoms (fractional coordinates):
1 Ti 0.000 0.000 0.000
2 Bi 0.500 0.500 0.500
3 C 0.000 0.000 0.500
4 C 0.000 0.500 0.000
5 C 0.500 0.000 0.000

The following is a simulated X-ray powder pattern of HoGe3Ir. It was derived from a GGA-PBE-relaxed structure, using Cu Kα X-rays.
Lines closer than 0.1° are merged.

Most intense lines, 2θ from 10° to 90°, in order of rising 2θ:
21.20°, I 52
26.57°, I 63
35.36°, I 34
35.59°, I 63
37.21°, I 100
37.88°, I 46
46.26°, I 48
46.95°, I 33

Structure:
a = 6.035 Å, b = 5.597 Å, c = 5.825 Å
α = 90.00°, β = 90.00°, γ = 90.00°
Atoms (fractional coordinates):
1 Ho 0.000 0.146 0.000
2 Ho 0.500 0.854 0.500
3 Ge 0.000 0.901 0.572
4 Ge 0.237 0.316 0.452
5 Ge 0.263 0.684 0.952
6 Ge 0.500 0.099 0.072
7 Ge 0.737 0.684 0.952
8 Ge 0.763 0.316 0.452
9 Ir 0.000 0.620 0.262
10 Ir 0.500 0.380 0.762

The following is a simulated X-ray powder pattern of Na6SnAu. It was derived from a GGA-PBE-relaxed structure, using Cu Kα X-rays.
Lines closer than 0.1° are merged.

Most intense lines, 2θ from 10° to 90°, in order of rising 2θ:
20.94°, I 100
20.98°, I 20
29.79°, I 48
36.63°, I 47
36.75°, I 65
48.00°, I 17
57.33°, I 15
57.57°, I 33

Structure:
a = 5.989 Å, b = 6.001 Å, c = 6.004 Å
α = 89.72°, β = 89.89°, γ = 89.91°
Atoms (fractional coordinates):
1 Na 0.000 0.000 0.248
2 Na 0.000 0.000 0.752
3 Na 0.251 0.500 0.999
4 Na 0.499 0.751 0.499
5 Na 0.501 0.249 0.501
6 Na 0.749 0.500 0.001
7 Sn 0.000 0.500 0.500
8 Au 0.500 0.000 0.000

Q: Number 2 is which compound?
A: Ac2Ho3Rh2